For SrZrW, the PBE geometry in Alexandria gives the computed X-ray powder pattern in this record (copper Kα).

Top 12 peaks for 10° ≤ 2θ ≤ 90°, most intense first:
2θ = 33.25°, rel. 100
2θ = 35.33°, rel. 62
2θ = 14.50°, rel. 51
2θ = 62.11°, rel. 33
2θ = 58.81°, rel. 22
2θ = 50.83°, rel. 22
2θ = 38.38°, rel. 19
2θ = 46.49°, rel. 18
2θ = 44.85°, rel. 18
2θ = 81.41°, rel. 18
2θ = 29.23°, rel. 17
2θ = 25.85°, rel. 12

Cell and atoms:
Lattice parameters (Å, degrees): 3.592 3.592 12.220 90.00 90.00 90.00
Fractional positions:
Sr  0.000  0.000  0.000
Sr  0.500  0.500  0.500
Zr  0.000  0.000  0.721
Zr  0.500  0.500  0.221
W  0.000  0.000  0.310
W  0.500  0.500  0.810

---

For Sr3Y, the PBE geometry in Alexandria gives the computed X-ray powder pattern in this record (copper Kα).

Top 12 peaks for 10° ≤ 2θ ≤ 90°, most intense first:
2θ = 28.90°, rel. 100
2θ = 26.79°, rel. 25
2θ = 25.54°, rel. 23
2θ = 53.16°, rel. 22
2θ = 45.01°, rel. 20
2θ = 48.64°, rel. 19
2θ = 54.38°, rel. 16
2θ = 37.34°, rel. 15
2θ = 73.18°, rel. 14
2θ = 85.71°, rel. 7
2θ = 68.42°, rel. 7
2θ = 73.88°, rel. 6

Cell and atoms:
Lattice parameters (Å, degrees): 4.028 4.028 13.312 90.00 90.00 120.00
Fractional positions:
Sr  0.000  0.000  0.000
Sr  0.333  0.667  0.269
Sr  0.333  0.667  0.731
Y  0.000  0.000  0.500

---

For Sr3Y, the PBE geometry in Alexandria gives the computed X-ray powder pattern in this record (copper Kα).

Top 12 peaks for 10° ≤ 2θ ≤ 90°, most intense first:
2θ = 27.87°, rel. 100
2θ = 28.02°, rel. 99
2θ = 28.25°, rel. 98
2θ = 49.73°, rel. 39
2θ = 49.92°, rel. 39
2θ = 40.39°, rel. 37
2θ = 66.14°, rel. 25
2θ = 49.25°, rel. 20
2θ = 39.48°, rel. 19
2θ = 58.44°, rel. 12
2θ = 57.58°, rel. 12
2θ = 57.93°, rel. 12

Cell and atoms:
Lattice parameters (Å, degrees): 3.883 6.317 7.564 90.00 100.88 90.00
Fractional positions:
Sr  0.000  0.000  0.000
Sr  0.260  0.500  0.737
Sr  0.740  0.500  0.263
Y  0.500  0.000  0.500

---

For SrY4, the PBE geometry in Alexandria gives the computed X-ray powder pattern in this record (copper Kα).

Top 12 peaks for 10° ≤ 2θ ≤ 90°, most intense first:
2θ = 31.46°, rel. 100
2θ = 27.15°, rel. 73
2θ = 45.08°, rel. 72
2θ = 53.43°, rel. 32
2θ = 74.62°, rel. 31
2θ = 56.00°, rel. 25
2θ = 83.21°, rel. 23
2θ = 15.58°, rel. 21
2θ = 22.10°, rel. 19
2θ = 72.43°, rel. 12
2θ = 65.66°, rel. 11
2θ = 35.28°, rel. 11

Cell and atoms:
Lattice parameters (Å, degrees): 5.688 5.688 5.688 90.00 90.00 90.00
Fractional positions:
Sr  0.000  0.000  0.000
Y  0.000  0.000  0.500
Y  0.000  0.500  0.000
Y  0.500  0.000  0.000
Y  0.500  0.500  0.500

---

For SrY, the PBE geometry in Alexandria gives the computed X-ray powder pattern in this record (copper Kα).

Top 12 peaks for 10° ≤ 2θ ≤ 90°, most intense first:
2θ = 27.97°, rel. 100
2θ = 33.24°, rel. 89
2θ = 30.65°, rel. 74
2θ = 49.41°, rel. 42
2θ = 56.18°, rel. 28
2θ = 26.18°, rel. 27
2θ = 23.62°, rel. 26
2θ = 57.22°, rel. 24
2θ = 31.63°, rel. 21
2θ = 78.07°, rel. 19
2θ = 58.30°, rel. 17
2θ = 47.06°, rel. 14

Cell and atoms:
Lattice parameters (Å, degrees): 3.815 22.630 3.862 90.00 90.00 90.00
Fractional positions:
Sr  0.000  0.079  0.250
Sr  0.000  0.921  0.750
Sr  0.500  0.421  0.750
Sr  0.500  0.579  0.250
Y  0.000  0.298  0.250
Y  0.000  0.702  0.750
Y  0.500  0.202  0.750
Y  0.500  0.798  0.250

---

For SrY3Zn4, the PBE geometry in Alexandria gives the computed X-ray powder pattern in this record (copper Kα).

Top 12 peaks for 10° ≤ 2θ ≤ 90°, most intense first:
2θ = 34.76°, rel. 100
2θ = 62.32°, rel. 34
2θ = 49.98°, rel. 17
2θ = 83.83°, rel. 14
2θ = 73.38°, rel. 10
2θ = 24.39°, rel. 2
2θ = 56.38°, rel. 1
2θ = 69.35°, rel. 1
2θ = 44.78°, rel. 1
2θ = 12.13°, rel. 1
2θ = 78.66°, rel. 1
2θ = 42.92°, rel. 1

Cell and atoms:
Lattice parameters (Å, degrees): 10.323 7.295 5.163 90.00 90.00 90.00
Fractional positions:
Sr  0.000  0.000  0.000
Sr  0.500  0.000  0.000
Y  0.000  0.500  0.000
Y  0.250  0.000  0.499
Y  0.250  0.500  0.499
Y  0.500  0.500  0.000
Y  0.750  0.000  0.501
Y  0.750  0.500  0.501
Zn  0.000  0.269  0.500
Zn  0.000  0.731  0.500
Zn  0.250  0.269  0.999
Zn  0.250  0.731  0.999
Zn  0.500  0.269  0.500
Zn  0.500  0.731  0.500
Zn  0.750  0.269  0.001
Zn  0.750  0.731  0.001

---

For Sr2Zn7, the PBE geometry in Alexandria gives the computed X-ray powder pattern in this record (copper Kα).

Top 12 peaks for 10° ≤ 2θ ≤ 90°, most intense first:
2θ = 37.69°, rel. 100
2θ = 36.37°, rel. 29
2θ = 31.29°, rel. 28
2θ = 59.98°, rel. 24
2θ = 65.29°, rel. 24
2θ = 41.66°, rel. 20
2θ = 40.88°, rel. 19
2θ = 80.49°, rel. 16
2θ = 29.14°, rel. 16
2θ = 31.01°, rel. 14
2θ = 43.28°, rel. 10
2θ = 60.41°, rel. 10

Cell and atoms:
Lattice parameters (Å, degrees): 13.421 13.421 13.421 24.59 24.59 24.59
Fractional positions:
Sr  0.052  0.052  0.052
Sr  0.150  0.150  0.150
Sr  0.850  0.850  0.850
Sr  0.948  0.948  0.948
Zn  0.000  0.500  0.500
Zn  0.107  0.608  0.608
Zn  0.280  0.280  0.280
Zn  0.387  0.387  0.387
Zn  0.392  0.392  0.893
Zn  0.392  0.893  0.392
Zn  0.500  0.000  0.500
Zn  0.500  0.500  0.000
Zn  0.500  0.500  0.500
Zn  0.608  0.107  0.608
Zn  0.608  0.608  0.107
Zn  0.613  0.613  0.613
Zn  0.720  0.720  0.720
Zn  0.893  0.392  0.392

---

For Sr3Zn, the PBE geometry in Alexandria gives the computed X-ray powder pattern in this record (copper Kα).

Top 12 peaks for 10° ≤ 2θ ≤ 90°, most intense first:
2θ = 28.12°, rel. 100
2θ = 31.52°, rel. 55
2θ = 54.06°, rel. 31
2θ = 62.99°, rel. 21
2θ = 45.17°, rel. 20
2θ = 34.24°, rel. 18
2θ = 23.77°, rel. 16
2θ = 41.16°, rel. 16
2θ = 41.48°, rel. 16
2θ = 25.79°, rel. 14
2θ = 74.78°, rel. 9
2θ = 72.14°, rel. 8

Cell and atoms:
Lattice parameters (Å, degrees): 4.015 4.015 10.365 90.00 90.00 90.00
Fractional positions:
Sr  0.000  0.000  0.000
Sr  0.500  0.500  0.318
Sr  0.500  0.500  0.682
Zn  0.000  0.000  0.500